(1)
Li4CdAu: computed X-ray powder pattern (Cu Kα (λ = 1.5418 Å)), based on the PBE geometry in Alexandria.
Intensities are scaled so that the largest is 100.

Main lines, low angle first (2θ from 5° to 70°):
2θ/deg	intensity	hkl
11.4	20	0 0 1
22.9	100	0 1 1
23.0	47	0 0 2
30.7	25	1 0 0
38.6	72	1 1 1
40.3	25	0 1 3
46.7	15	0 2 2
51.3	15	1 2 0
51.5	21	1 1 3
56.9	18	1 2 2

Unit cell a=2.9149 b=4.4975 c=7.7401 alpha=90.00 beta=90.07 gamma=90.00
Space group Pm (No. 6)
Unique sites:
Li (0.0000, 0.0000, 0.0000) (multiplicity 1)
Li (0.0004, 0.5000, 0.4444) (multiplicity 1)
Li (0.5017, 0.0000, 0.3051) (multiplicity 1)
Li (0.9985, 0.5000, 0.8109) (multiplicity 1)
Cd (0.4973, 0.0000, 0.6588) (multiplicity 1)
Au (0.4997, 0.5000, 0.1222) (multiplicity 1)

=====

(2)
HfCo22B6: computed X-ray powder pattern (Cu Kα (λ = 1.5418 Å)), based on the PBE geometry in Alexandria.
Intensities are scaled so that the largest is 100.

Main lines, low angle first (2θ from 5° to 70°):
2θ/deg	intensity	hkl
14.6	13	1 1 1
28.2	14	3 1 1
29.5	9	2 2 2
38.3	5	4 2 0
42.1	36	4 2 2
44.8	100	3 3 3
49.1	24	4 4 0
51.5	8	5 3 1
52.2	15	6 0 0
55.3	5	6 2 0

Unit cell a=10.5053 b=10.5053 c=10.5053 alpha=90.00 beta=90.00 gamma=90.00
Space group Fm-3m (No. 225)
Unique sites:
Hf (0.0000, 0.0000, 0.0000) (multiplicity 4)
Co (0.0000, 0.1727, 0.1727) (multiplicity 48)
Co (0.1189, 0.1189, 0.3811) (multiplicity 32)
Co (0.2500, 0.2500, 0.2500) (multiplicity 8)
B (0.0000, 0.0000, 0.2723) (multiplicity 24)

=====

(3)
Pm4SmTh3: computed X-ray powder pattern (Cu Kα (λ = 1.5418 Å)), based on the PBE geometry in Alexandria.
Intensities are scaled so that the largest is 100.

Main lines, low angle first (2θ from 5° to 70°):
2θ/deg	intensity	hkl
8.6	8	0 0 1
30.2	100	1 2 2
34.8	17	0 0 4
35.2	34	2 0 0
50.4	24	2 0 4
50.6	12	2 4 0
59.7	14	1 2 6
60.0	15	1 6 2
60.2	15	3 2 2
62.9	12	2 4 4

Unit cell a=5.0957 b=10.2158 c=10.2988 alpha=90.00 beta=90.00 gamma=90.00
Space group Pmmn (No. 59, origin choice 2)
Unique sites:
Pm (0.2500, 0.0020, 0.1316) (multiplicity 4)
Pm (0.2500, 0.2500, 0.8716) (multiplicity 2)
Pm (0.2500, 0.7500, 0.8642) (multiplicity 2)
Sm (0.2500, 0.7500, 0.3805) (multiplicity 2)
Th (0.2500, 0.2500, 0.3788) (multiplicity 2)
Th (0.2500, 0.5027, 0.6198) (multiplicity 4)